Diffraction record for LaMgCrNiO6. The PXRD pattern is computed, not measured: it uses a structure optimized by DFT (GGA+U) and Cu Ka.
Intensities are scaled so that the largest is 100.

Crystal structure
Unit cell a=5.310 b=5.434 c=9.328 alpha=90.00 beta=124.55 gamma=90.00
Element x y z (fractional)
1 La 0.000 0.203 0.000
2 La 0.000 0.797 0.500
3 Mg 0.538 0.305 0.512
4 Mg 0.538 0.695 0.012
5 Cr 0.264 0.262 0.751
6 Cr 0.264 0.738 0.251
7 Ni 0.762 0.248 0.251
8 Ni 0.762 0.752 0.751
9 O 0.149 0.228 0.512
10 O 0.149 0.772 0.012
11 O 0.420 0.304 0.991
12 O 0.420 0.696 0.491
13 O 0.474 0.040 0.307
14 O 0.474 0.960 0.807
15 O 0.579 0.468 0.800
16 O 0.579 0.532 0.300
17 O 0.890 0.062 0.691
18 O 0.890 0.938 0.191
19 O 0.990 0.492 0.194
20 O 0.990 0.508 0.694

Most intense lines, 5 to 70 degrees two-theta, sorted by position:
- 2θ = 20.01°, rel. 31
- 2θ = 20.33°, rel. 31
- 2θ = 32.97°, rel. 21
- 2θ = 33.17°, rel. 100
- 2θ = 33.76°, rel. 23
- 2θ = 39.04°, rel. 20
- 2θ = 39.56°, rel. 17
- 2θ = 47.33°, rel. 15
- 2θ = 47.91°, rel. 25
- 2θ = 58.92°, rel. 18

Diffraction record for Sr2FeSnO6. The PXRD pattern is computed, not measured: it uses a structure optimized by DFT (GGA+U) and Cu Ka.
Intensities are scaled so that the largest is 100.

Crystal structure
Unit cell a=5.693 b=5.693 c=5.693 alpha=60.00 beta=60.00 gamma=60.00
Element x y z (fractional)
1 Sr 0.250 0.250 0.250
2 Sr 0.750 0.750 0.750
3 Fe 0.000 0.000 0.000
4 Sn 0.500 0.500 0.500
5 O 0.245 0.245 0.755
6 O 0.245 0.755 0.245
7 O 0.245 0.755 0.755
8 O 0.755 0.245 0.245
9 O 0.755 0.245 0.755
10 O 0.755 0.755 0.245

Most intense lines, 5 to 70 degrees two-theta, sorted by position:
- 2θ = 19.09°, rel. 7
- 2θ = 22.08°, rel. 2
- 2θ = 31.43°, rel. 100
- 2θ = 37.03°, rel. 5
- 2θ = 38.74°, rel. 3
- 2θ = 45.04°, rel. 35
- 2θ = 49.34°, rel. 3
- 2θ = 55.95°, rel. 40
- 2θ = 65.59°, rel. 21
- 2θ = 69.01°, rel. 2

Diffraction record for MgMn6O8F4. The PXRD pattern is computed, not measured: it uses a structure optimized by DFT (GGA+U) and Cu Ka.
Intensities are scaled so that the largest is 100.

Crystal structure
Unit cell a=3.005 b=6.895 c=11.065 alpha=73.56 beta=89.42 gamma=89.76
Element x y z (fractional)
1 Mg 0.000 0.000 0.000
2 Mn 0.010 0.866 0.798
3 Mn 0.016 0.508 0.534
4 Mn 0.023 0.191 0.179
5 Mn 0.505 0.372 0.838
6 Mn 0.513 0.654 0.195
7 Mn 0.520 0.009 0.513
8 O 0.012 0.850 0.180
9 O 0.016 0.481 0.180
10 O 0.019 0.188 0.521
11 O 0.021 0.833 0.497
12 O 0.497 0.198 0.030
13 O 0.506 0.858 0.924
14 O 0.512 0.469 0.650
15 O 0.514 0.884 0.689
16 F 0.003 0.549 0.866
17 F 0.006 0.180 0.816
18 F 0.520 0.554 0.403
19 F 0.528 0.117 0.320

Most intense lines, 5 to 70 degrees two-theta, sorted by position:
- 2θ = 25.17°, rel. 98
- 2θ = 25.85°, rel. 100
- 2θ = 34.76°, rel. 26
- 2θ = 34.91°, rel. 52
- 2θ = 35.26°, rel. 27
- 2θ = 35.83°, rel. 20
- 2θ = 51.41°, rel. 24
- 2θ = 51.86°, rel. 24
- 2θ = 52.23°, rel. 23
- 2θ = 61.74°, rel. 20

Diffraction record for LiFe2OF5. The PXRD pattern is computed, not measured: it uses a structure optimized by DFT (GGA+U) and Cu Ka.
Intensities are scaled so that the largest is 100.

Crystal structure
Unit cell a=5.348 b=4.854 c=15.214 alpha=90.00 beta=90.69 gamma=90.00
Element x y z (fractional)
1 Li 0.000 0.243 0.000
2 Li 0.000 0.757 0.500
3 Li 0.686 0.255 0.148
4 Li 0.686 0.745 0.648
5 Fe 0.152 0.268 0.325
6 Fe 0.152 0.732 0.825
7 Fe 0.174 0.284 0.670
8 Fe 0.174 0.716 0.170
9 Fe 0.488 0.227 0.487
10 Fe 0.488 0.773 0.987
11 Fe 0.663 0.229 0.822
12 Fe 0.663 0.771 0.322
13 O 0.419 0.026 0.379
14 O 0.419 0.974 0.879
15 O 0.964 0.418 0.772
16 O 0.964 0.582 0.272
17 F 0.037 0.076 0.213
18 F 0.037 0.924 0.713
19 F 0.205 0.473 0.437
20 F 0.205 0.527 0.937
21 F 0.221 0.039 0.558
22 F 0.221 0.961 0.058
23 F 0.437 0.469 0.266
24 F 0.437 0.531 0.766
25 F 0.442 0.476 0.596
26 F 0.442 0.524 0.096
27 F 0.516 0.065 0.711
28 F 0.516 0.935 0.211
29 F 0.694 0.472 0.930
30 F 0.694 0.528 0.430
31 F 0.719 0.013 0.044
32 F 0.719 0.987 0.544
33 F 0.910 0.024 0.382
34 F 0.910 0.976 0.882
35 F 0.950 0.498 0.599
36 F 0.950 0.502 0.099

Most intense lines, 5 to 70 degrees two-theta, sorted by position:
- 2θ = 11.63°, rel. 42
- 2θ = 19.19°, rel. 78
- 2θ = 20.41°, rel. 44
- 2θ = 25.42°, rel. 83
- 2θ = 30.37°, rel. 100
- 2θ = 30.60°, rel. 95
- 2θ = 38.91°, rel. 37
- 2θ = 40.13°, rel. 38
- 2θ = 52.18°, rel. 67
- 2θ = 52.41°, rel. 34